Structure and computed powder X-ray diffraction pattern of Rb4NaH5 (a cell relaxed with GGA-PBE; Cu Kα (λ = 1.5418 Å)).
Kinematic intensities with the Lorentz-polarization factor, no thermal factor.

The 8 most intense peaks (10 to 80 degrees two-theta), by intensity:
3.324 Å, I 100
2.885 Å, I 71
3.355 Å, I 30
2.033 Å, I 27
1.739 Å, I 26
2.047 Å, I 21
1.734 Å, I 15
1.662 Å, I 13

Crystal structure
Unit cell a=4.0664 b=4.0664 c=50.3278 alpha=90.00 beta=90.00 gamma=120.00
Space group R-3m (No. 166, hexagonal axes)
Unique sites:
Rb1 0.0000 0.0000 0.1056 x6
Rb2 0.0000 0.0000 0.2981 x6
Na1 0.0000 0.0000 0.5000 x3
H1 0.0000 0.0000 0.0000 x3
H2 0.0000 0.0000 0.1924 x6
H3 0.0000 0.0000 0.4036 x6